[1]
This entry pairs a crystal structure of Li2Ni3SnO8 with its calculated X-ray powder pattern. Radiation: Cu Kα (λ = 1.5418 Å). Structure: a DFT-relaxed cell (GGA+U, the Materials Project).
Intensities are scaled so that the largest is 100.

Top 12 peaks for 10 to 80 degrees two-theta, in order of falling intensity:
18.49°, d 4.798, intensity 100; 43.52°, d 2.080, intensity 35; 42.66°, d 2.119, intensity 19; 35.21°, d 2.549, intensity 14; 35.33°, d 2.541, intensity 14; 35.88°, d 2.503, intensity 13; 61.90°, d 1.499, intensity 11; 37.56°, d 2.395, intensity 11; 63.25°, d 1.470, intensity 11; 35.72°, d 2.513, intensity 11; 17.95°, d 4.943, intensity 10; 57.69°, d 1.598, intensity 7

Structure:
abc: 5.882 5.882 10.504
angles: 107.10 107.10 59.14
Positions (direct):
Li (0.056, 0.571, 0.680)
Li (0.429, 0.944, 0.820)
Li (0.571, 0.056, 0.180)
Li (0.944, 0.429, 0.320)
Ni (0.000, 0.000, 0.000)
Ni (0.000, 0.000, 0.500)
Ni (0.000, 0.500, 0.000)
Ni (0.500, 0.000, 0.500)
Ni (0.500, 0.500, 0.000)
Ni (0.500, 0.500, 0.500)
Sn (0.259, 0.741, 0.250)
Sn (0.741, 0.259, 0.750)
O (0.096, 0.152, 0.891)
O (0.148, 0.647, 0.896)
O (0.152, 0.096, 0.391)
O (0.164, 0.613, 0.381)
O (0.353, 0.852, 0.604)
O (0.365, 0.390, 0.102)
O (0.387, 0.836, 0.119)
O (0.390, 0.365, 0.602)
O (0.610, 0.635, 0.398)
O (0.613, 0.164, 0.881)
O (0.635, 0.610, 0.898)
O (0.647, 0.148, 0.396)
O (0.836, 0.387, 0.619)
O (0.848, 0.904, 0.609)
O (0.852, 0.353, 0.104)
O (0.904, 0.848, 0.109)

***

[2]
This entry pairs a crystal structure of MgFe8O8F8 with its calculated X-ray powder pattern. Radiation: Cu Kα (λ = 1.5418 Å). Structure: a DFT-relaxed cell (GGA+U, the Materials Project).
Intensities are scaled so that the largest is 100.

Top 12 peaks for 10 to 80 degrees two-theta, in order of falling intensity:
23.63°, d 3.765, intensity 100; 24.52°, d 3.631, intensity 86; 34.59°, d 2.593, intensity 26; 47.83°, d 1.902, intensity 19; 39.97°, d 2.255, intensity 16; 36.11°, d 2.487, intensity 16; 35.47°, d 2.531, intensity 16; 34.23°, d 2.619, intensity 15; 40.20°, d 2.243, intensity 15; 41.92°, d 2.155, intensity 14; 60.60°, d 1.528, intensity 14; 37.67°, d 2.388, intensity 13

Structure:
abc: 5.191 5.283 11.751
angles: 88.20 86.48 87.82
Positions (direct):
Mg (0.000, 0.000, 0.000)
Fe (0.104, 0.526, 0.886)
Fe (0.455, 0.044, 0.533)
Fe (0.480, 0.030, 0.038)
Fe (0.556, 0.886, 0.779)
Fe (0.612, 0.920, 0.284)
Fe (0.922, 0.383, 0.659)
Fe (0.953, 0.397, 0.407)
Fe (0.971, 0.417, 0.157)
O (0.164, 0.279, 0.529)
O (0.194, 0.308, 0.029)
O (0.311, 0.838, 0.912)
O (0.669, 0.128, 0.657)
O (0.698, 0.141, 0.404)
O (0.756, 0.126, 0.148)
O (0.817, 0.620, 0.778)
O (0.841, 0.625, 0.282)
F (0.186, 0.260, 0.765)
F (0.194, 0.269, 0.278)
F (0.333, 0.786, 0.656)
F (0.354, 0.807, 0.177)
F (0.356, 0.809, 0.412)
F (0.741, 0.106, 0.894)
F (0.787, 0.607, 0.531)
F (0.835, 0.678, 0.037)

***

[3]
This entry pairs a crystal structure of NaMgMn4O8 with its calculated X-ray powder pattern. Radiation: Cu Kα (λ = 1.5418 Å). Structure: a DFT-relaxed cell (GGA+U, the Materials Project).
Intensities are scaled so that the largest is 100.

Top 12 peaks for 10 to 80 degrees two-theta, in order of falling intensity:
16.75°, d 5.294, intensity 100; 42.24°, d 2.139, intensity 39; 39.44°, d 2.285, intensity 28; 35.61°, d 2.521, intensity 23; 32.96°, d 2.717, intensity 18; 59.79°, d 1.547, intensity 16; 54.35°, d 1.688, intensity 15; 58.53°, d 1.577, intensity 12; 33.87°, d 2.647, intensity 10; 45.26°, d 2.003, intensity 8; 64.46°, d 1.445, intensity 7; 62.95°, d 1.477, intensity 7

Structure:
abc: 6.209 6.209 6.365
angles: 119.43 119.43 55.50
Positions (direct):
Na (0.000, 0.000, 0.000)
Mg (0.330, 0.330, 0.054)
Mn (0.000, 0.000, 0.493)
Mn (0.006, 0.509, 0.486)
Mn (0.509, 0.006, 0.486)
Mn (0.534, 0.534, 0.552)
O (0.225, 0.225, 0.675)
O (0.246, 0.767, 0.710)
O (0.255, 0.255, 0.281)
O (0.263, 0.736, 0.292)
O (0.736, 0.263, 0.292)
O (0.757, 0.757, 0.686)
O (0.767, 0.246, 0.710)
O (0.791, 0.791, 0.312)